[1]
Structure and theoretical powder X-ray diffraction pattern of NaGaSe2Cl (the PBE geometry in Alexandria; copper Kα).
Peak positions follow from Bragg's law for the DFT cell and can differ from measured ones.

Cell and atoms:
```
NaGaSe2Cl
1.0
4.7673 0.0000 0.0000
0.0000 4.7673 0.0000
0.0000 0.0000 10.9448
Na Ga Se Cl
1 1 2 1
Direct
0.0000 0.0000 0.0000
0.0000 0.0000 0.5000
0.0000 0.5000 0.5000
0.5000 0.0000 0.5000
0.5000 0.5000 0.0000
```

Peak list (6 most intense, 2θ from 5° to 70°, by angle)
2theta	d [Å]	Rel. int.
8.1	10.945	100
16.2	5.472	70
20.3	4.371	14
27.7	3.222	19
37.7	2.384	16
41.3	2.186	27

***

[2]
Structure and theoretical powder X-ray diffraction pattern of TlSe2I6 (the PBE geometry in Alexandria; copper Kα).
Peak positions follow from Bragg's law for the DFT cell and can differ from measured ones.

Cell and atoms:
```
TlSe2I6
1.0
8.6330 -6.4190 0.0000
8.6330 6.4190 0.0000
-5.8710 0.0000 9.1432
Tl Se I
2 4 12
Direct
0.1403 0.8597 0.7500
0.8597 0.1403 0.2500
0.2455 0.3783 0.7964
0.3783 0.2455 0.2964
0.6217 0.7545 0.7036
0.7545 0.6217 0.2036
0.0735 0.1306 0.6026
0.0775 0.6068 0.8442
0.1306 0.0735 0.1026
0.3310 0.3512 0.5686
0.3512 0.3310 0.0686
0.3932 0.9225 0.6558
0.6068 0.0775 0.3442
0.6488 0.6690 0.9314
0.6690 0.6488 0.4314
0.8694 0.9265 0.8974
0.9225 0.3932 0.1558
0.9265 0.8694 0.3974
```

Peak list (6 most intense, 2θ from 5° to 70°, by angle)
2theta	d [Å]	Rel. int.
15.6	5.689	100
17.5	5.069	47
19.6	4.531	69
27.6	3.226	72
33.2	2.701	64
37.4	2.406	78

***

[3]
Structure and theoretical powder X-ray diffraction pattern of H4PdNCl3 (the PBE geometry in Alexandria; copper Kα).
Peak positions follow from Bragg's law for the DFT cell and can differ from measured ones.

Cell and atoms:
```
H4PdNCl3
1.0
4.9451 0.0000 0.0000
0.0000 5.0142 0.0000
-0.0012 0.0000 5.0137
H Pd N Cl
4 1 1 3
Direct
0.0000 0.0000 0.0000
0.0014 0.0000 0.3364
0.2440 0.1681 0.1671
0.2440 0.8319 0.1671
0.6226 0.5000 0.6682
0.1224 0.0000 0.1677
0.1226 0.5000 0.6683
0.5965 0.5000 0.1682
0.6485 0.0000 0.6682
```

Peak list (6 most intense, 2θ from 5° to 70°, by angle)
2theta	d [Å]	Rel. int.
17.7	5.014	100
17.9	4.945	48
25.3	3.521	44
35.8	2.507	56
40.2	2.242	26
51.9	1.760	33

***

[4]
Structure and theoretical powder X-ray diffraction pattern of Gd2CuO4 (the PBE geometry in Alexandria; copper Kα).
Peak positions follow from Bragg's law for the DFT cell and can differ from measured ones.

Cell and atoms:
```
Gd2CuO4
1.0
6.6151 0.0000 0.0000
0.0000 5.5392 0.0000
-2.2588 0.0000 5.0552
Gd Cu O
4 2 8
Direct
0.1957 0.0020 0.3456
0.1957 0.4980 0.8456
0.8043 0.5020 0.1544
0.8043 0.9980 0.6544
0.5000 0.0000 0.0000
0.5000 0.5000 0.5000
0.0023 0.7498 0.4934
0.0023 0.7502 0.9934
0.4965 0.2154 0.7124
0.4965 0.2846 0.2124
0.5035 0.7154 0.7876
0.5035 0.7846 0.2876
0.9977 0.2498 0.0066
0.9977 0.2502 0.5066
```

Peak list (6 most intense, 2θ from 5° to 70°, by angle)
2theta	d [Å]	Rel. int.
23.9	3.716	20
31.7	2.819	100
32.0	2.796	97
32.3	2.769	70
46.4	1.958	49
57.1	1.612	19

***

[5]
Structure and theoretical powder X-ray diffraction pattern of Ac8P3IrSe4 (the PBE geometry in Alexandria; copper Kα).
Peak positions follow from Bragg's law for the DFT cell and can differ from measured ones.

Cell and atoms:
```
Ac8P3IrSe4
1.0
4.4383 2.5624 7.3608
-4.4383 2.5624 7.3608
0.0000 -5.1249 7.3608
Ac P Ir Se
8 3 1 4
Direct
0.2446 0.2446 0.2446
0.2486 0.7409 0.7409
0.2591 0.2591 0.7514
0.2591 0.7514 0.2591
0.7409 0.2486 0.7409
0.7409 0.7409 0.2486
0.7514 0.2591 0.2591
0.7554 0.7554 0.7554
0.0000 0.0000 0.5000
0.0000 0.5000 0.0000
0.5000 0.0000 0.0000
0.5000 0.5000 0.5000
0.0000 0.0000 0.0000
0.0000 0.5000 0.5000
0.5000 0.0000 0.5000
0.5000 0.5000 0.0000
```

Peak list (6 most intense, 2θ from 5° to 70°, by angle)
2theta	d [Å]	Rel. int.
24.5	3.630	34
28.3	3.154	100
40.2	2.242	37
40.7	2.219	39
50.3	1.815	21
66.6	1.405	18

***

[6]
Structure and theoretical powder X-ray diffraction pattern of Ti6AlTc5 (the PBE geometry in Alexandria; copper Kα).
Peak positions follow from Bragg's law for the DFT cell and can differ from measured ones.

Cell and atoms:
```
Ti6AlTc5
1.0
-2.1868 3.1451 6.5935
2.1868 -3.1451 6.5935
2.1868 3.1451 -6.5935
Ti Al Tc
6 1 5
Direct
0.0725 0.3289 0.7436
0.2343 0.0000 0.2343
0.4146 0.6711 0.7436
0.5854 0.3289 0.2564
0.7657 0.0000 0.7657
0.9275 0.6711 0.2564
0.5000 0.5000 0.0000
0.0000 0.5000 0.5000
0.1683 0.1683 0.0000
0.3404 0.8404 0.5000
0.6596 0.1596 0.5000
0.8317 0.8317 0.0000
```

Peak list (6 most intense, 2θ from 5° to 70°, by angle)
2theta	d [Å]	Rel. int.
28.4	3.148	9
28.8	3.100	12
40.9	2.208	100
41.1	2.198	24
41.3	2.187	25
59.6	1.550	15

***

[7]
Structure and theoretical powder X-ray diffraction pattern of SmY3Sn2 (the PBE geometry in Alexandria; copper Kα).
Peak positions follow from Bragg's law for the DFT cell and can differ from measured ones.

Cell and atoms:
```
SmY3Sn2
1.0
-3.7174 7.2516 3.7378
3.7174 -7.2516 3.7378
3.7174 7.2516 -3.7378
Sm Y Sn
2 6 4
Direct
0.0000 0.0000 0.0000
0.5000 0.5000 0.0000
0.0359 0.2500 0.7859
0.2500 0.7500 0.5000
0.4641 0.2500 0.2141
0.5359 0.7500 0.7859
0.7500 0.2500 0.5000
0.9641 0.7500 0.2141
0.1420 0.6858 0.8279
0.3580 0.1858 0.5438
0.6420 0.8142 0.4562
0.8580 0.3142 0.1721
```

Peak list (6 most intense, 2θ from 5° to 70°, by angle)
2theta	d [Å]	Rel. int.
20.8	4.264	72
27.4	3.249	30
32.6	2.747	100
34.5	2.597	71
44.3	2.045	29
63.6	1.463	31

***

[8]
Structure and theoretical powder X-ray diffraction pattern of Pu3Ni3Sb4 (the PBE geometry in Alexandria; copper Kα).
Peak positions follow from Bragg's law for the DFT cell and can differ from measured ones.

Cell and atoms:
```
Pu3Ni3Sb4
1.0
-4.7389 4.7389 4.7389
4.7389 -4.7389 4.7389
4.7389 4.7389 -4.7389
Pu Ni Sb
6 6 8
Direct
0.1250 0.7500 0.8750
0.2500 0.6250 0.3750
0.3750 0.2500 0.6250
0.6250 0.3750 0.2500
0.7500 0.8750 0.1250
0.8750 0.1250 0.7500
0.1250 0.8750 0.2500
0.2500 0.1250 0.8750
0.3750 0.6250 0.7500
0.6250 0.7500 0.3750
0.7500 0.3750 0.6250
0.8750 0.2500 0.1250
0.0000 0.3424 0.5000
0.0000 0.8424 0.5000
0.1576 0.1576 0.1576
0.3424 0.5000 0.0000
0.5000 0.0000 0.3424
0.5000 0.0000 0.8424
0.6576 0.6576 0.6576
0.8424 0.5000 0.0000
```

Peak list (6 most intense, 2θ from 5° to 70°, by angle)
2theta	d [Å]	Rel. int.
23.0	3.869	20
29.8	2.997	72
35.4	2.533	100
42.7	2.119	46
44.9	2.021	18
60.2	1.538	28

***

[9]
Structure and theoretical powder X-ray diffraction pattern of LaPr3Rh2 (the PBE geometry in Alexandria; copper Kα).
Peak positions follow from Bragg's law for the DFT cell and can differ from measured ones.

Cell and atoms:
```
LaPr3Rh2
1.0
-3.5117 7.0303 3.6846
3.5117 -7.0303 3.6846
3.5117 7.0303 -3.6846
La Pr Rh
2 6 4
Direct
0.0000 0.0000 0.0000
0.5000 0.5000 0.0000
0.0120 0.2500 0.7620
0.2500 0.7500 0.5000
0.4880 0.2500 0.2380
0.5120 0.7500 0.7620
0.7500 0.2500 0.5000
0.9880 0.7500 0.2380
0.1326 0.7236 0.8562
0.3674 0.2236 0.5909
0.6326 0.7764 0.4091
0.8674 0.2764 0.1438
```

Peak list (6 most intense, 2θ from 5° to 70°, by angle)
2theta	d [Å]	Rel. int.
21.6	4.120	60
25.4	3.513	56
33.5	2.678	61
35.3	2.543	91
36.2	2.484	100
62.8	1.480	40

***

[10]
Structure and theoretical powder X-ray diffraction pattern of Na17Cd11Pb (the PBE geometry in Alexandria; copper Kα).
Peak positions follow from Bragg's law for the DFT cell and can differ from measured ones.

Cell and atoms:
```
Na17Cd11Pb
1.0
5.8712 -8.2396 0.0000
5.8712 8.2396 0.0000
-5.8702 0.0000 8.3604
Na Cd Pb
17 11 1
Direct
0.0000 0.0000 0.0000
0.9995 0.4084 0.6863
0.0002 0.6876 0.4039
0.0014 0.0014 0.6508
0.0011 0.6532 0.0000
0.2756 0.5915 0.5881
0.3145 0.3145 0.7197
0.3148 0.7242 0.3123
0.3497 0.3497 0.3462
0.4062 0.6869 0.9979
0.4084 0.9995 0.6863
0.5915 0.2756 0.5881
0.5913 0.5913 0.2778
0.6532 0.0011 0.0000
0.6869 0.4062 0.9979
0.6876 0.0002 0.4039
0.7242 0.3148 0.3123
0.0018 0.3627 0.1793
0.0071 0.1927 0.3673
0.1782 0.8184 0.8156
0.1862 0.3653 0.9976
0.1927 0.0071 0.3673
0.3627 0.0018 0.1793
0.3653 0.1862 0.9976
0.6356 0.6356 0.8093
0.6377 0.8237 0.6327
0.8184 0.1782 0.8156
0.8237 0.6377 0.6327
0.8106 0.8106 0.1751
```

Peak list (6 most intense, 2θ from 5° to 70°, by angle)
2theta	d [Å]	Rel. int.
10.6	8.318	41
18.4	4.811	90
18.6	4.773	100
32.3	2.774	72
35.7	2.514	81
36.1	2.491	75

***

[11]
Structure and theoretical powder X-ray diffraction pattern of Ce2GaGe (the PBE geometry in Alexandria; copper Kα).
Peak positions follow from Bragg's law for the DFT cell and can differ from measured ones.

Cell and atoms:
```
Ce2GaGe
1.0
6.5448 0.0000 0.0000
0.0000 8.4172 0.0000
0.0000 0.0000 6.5781
Ce Ga Ge
8 4 4
Direct
0.2500 0.0252 0.2500
0.2500 0.4748 0.2500
0.2500 0.5252 0.7500
0.2500 0.9748 0.7500
0.7500 0.0252 0.2500
0.7500 0.4748 0.2500
0.7500 0.5252 0.7500
0.7500 0.9748 0.7500
0.0000 0.2500 0.5430
0.0000 0.7500 0.4570
0.5000 0.2500 0.9570
0.5000 0.7500 0.0430
0.0000 0.2500 0.9589
0.0000 0.7500 0.0411
0.5000 0.2500 0.5411
0.5000 0.7500 0.4589
```

Peak list (6 most intense, 2θ from 5° to 70°, by angle)
2theta	d [Å]	Rel. int.
34.6	2.592	79
34.7	2.583	100
38.8	2.320	61
43.0	2.104	19
59.3	1.559	26
67.7	1.383	26

***

[12]
Structure and theoretical powder X-ray diffraction pattern of Sc2Pt (the PBE geometry in Alexandria; copper Kα).
Peak positions follow from Bragg's law for the DFT cell and can differ from measured ones.

Cell and atoms:
```
Sc2Pt
1.0
6.6144 0.0000 0.0000
0.0000 4.5129 0.0000
0.0000 0.0000 8.2426
Sc Pt
8 4
Direct
0.0132 0.2500 0.1741
0.1482 0.2500 0.5765
0.3518 0.7500 0.0765
0.4868 0.7500 0.6741
0.5132 0.2500 0.3259
0.6482 0.2500 0.9235
0.8518 0.7500 0.4235
0.9868 0.7500 0.8259
0.2410 0.2500 0.9022
0.2590 0.7500 0.4022
0.7410 0.2500 0.5978
0.7590 0.7500 0.0978
```

Peak list (6 most intense, 2θ from 5° to 70°, by angle)
2theta	d [Å]	Rel. int.
25.5	3.498	74
26.2	3.397	100
35.4	2.538	75
38.4	2.347	66
40.0	2.256	42
47.5	1.914	47